Theoretical X-ray powder pattern
Compound: BeZnCuBi2
Radiation: CuKα
Structure: a crystal structure in Alexandria, relaxed with GGA-PBE
Kinematic intensities with the Lorentz-polarization factor, no thermal factor.

Structural model:
```
5
Lattice="5.1527 0.0000 0.0000 0.0000 5.1527 0.0000 0.0000 0.0000 4.2535" Properties=species:S:1:pos:R:3 pbc="T T T"
Be 0.0000 0.0000 0.0000
Zn 0.0000 0.0000 2.1268
Cu 2.5763 2.5763 2.1268
Bi 0.0000 2.5763 0.0000
Bi 2.5763 0.0000 0.0000
```

Peak list (6 most intense, 2θ = 10–90°, in order of rising 2θ)
(0 0 1), 20.88°, d = 4.254 Å, rel. 18; (1 1 0), 24.43°, d = 3.644 Å, rel. 23; (1 1 1), 32.35°, d = 2.767 Å, rel. 100; (2 0 0), 34.82°, d = 2.576 Å, rel. 43; (2 0 2), 56.07°, d = 1.640 Å, rel. 22; (3 1 1), 60.88°, d = 1.522 Å, rel. 33